This entry pairs a crystal structure of Sm2TmPuS4 with its computed powder diffractogram. Radiation: Cu Ka. Structure: a DFT-relaxed cell (PBE, Alexandria).

Atomic structure:
Cell lengths 6.8482, 3.9339, 6.8692 Å; angles 90.00, 109.15, 90.00 degrees
Space group P2/m (No. 10)
Unique sites:
Sm  0.0000  0.0000  0.0000 x1
Sm  0.5000  0.5000  0.0000 x1
Tm  0.0000  0.5000  0.5000 x1
Pu  0.5000  0.0000  0.5000 x1
S  0.2414  0.0000  0.7382 x2
S  0.2488  0.5000  0.2587 x2

Largest 10 diffraction maxima, sorted by position, 10° ≤ 2θ ≤ 80°:
| h k l | 2θ/deg | I/Imax |
| --- | --- | --- |
| 0 0 2 | 27.53 | 45 |
| 1 1 -1 | 27.73 | 44 |
| 1 1 1 | 32.01 | 100 |
| 2 0 2 | 45.64 | 12 |
| 1 1 -3 | 45.86 | 24 |
| 3 1 -1 | 45.97 | 24 |
| 0 2 0 | 46.15 | 12 |
| 1 1 3 | 54.24 | 15 |
| 0 2 2 | 54.52 | 18 |
| 2 2 -2 | 57.28 | 13 |